Structure and theoretical powder X-ray diffraction pattern of Li12MgAg2 (a crystal structure in Alexandria, relaxed with GGA-PBE; CuKα).

Structural model:
```
data_Li12MgAg2
_symmetry_space_group_name_H-M 'C m m e'
_symmetry_Int_Tables_number 67
_symmetry_space_group_name_Hall '-C 2a 2'
_cell_length_a 5.7517
_cell_length_b 10.3135
_cell_length_c 19.0990
_cell_angle_alpha 90.00
_cell_angle_beta 90.00
_cell_angle_gamma 90.00
loop_
_atom_site_label
_atom_site_type_symbol
_atom_site_fract_x
_atom_site_fract_y
_atom_site_fract_z
Li1 Li 0.0000 0.9996 0.0774
Li2 Li 0.0000 0.1213 0.5000
Li3 Li 0.2500 0.0000 0.2226
Li4 Li 0.2500 0.0000 0.3628
Li5 Li 0.2502 0.2500 0.1413
Li6 Li 0.2500 0.2500 0.3844
Mg1 Mg 0.0000 0.2500 0.0008
Ag1 Ag 0.0000 0.2500 0.2653
Ag2 Ag 0.0000 0.2500 0.7348
```

Peak list (8 most intense, 2θ from 5° to 70°, by angle)
- 9.26°, I 100, hkl 0 0 2
- 17.20°, I 43, hkl 0 2 0
- 18.58°, I 30, hkl 0 0 4
- 19.56°, I 40, hkl 0 2 2
- 25.42°, I 28, hkl 0 2 4
- 36.47°, I 15, hkl 2 0 4
- 37.01°, I 19, hkl 2 2 2
- 40.58°, I 22, hkl 2 2 4